Computed powder X-ray diffraction pattern of In2SnO5 for Cu Kα (λ = 1.5418 Å), from a PBE-relaxed structure.
Peak positions follow from Bragg's law for the DFT cell and can differ from measured ones.

Cell and atoms:
a b c (Å): 7.3444 3.7178 15.3694
angles (deg): 90.00 90.00 90.00
Element x y z (fractional)
In 0.0925 0.2500 0.0917
In 0.1465 0.2500 0.7400
In 0.3535 0.7500 0.2400
In 0.4075 0.7500 0.5917
In 0.5925 0.2500 0.4083
In 0.6465 0.2500 0.7600
In 0.8535 0.7500 0.2600
In 0.9075 0.7500 0.9083
Sn 0.1222 0.2500 0.4267
Sn 0.3778 0.7500 0.9267
Sn 0.6222 0.2500 0.0733
Sn 0.8778 0.7500 0.5733
O 0.0732 0.7500 0.4593
O 0.0920 0.7500 0.1839
O 0.1117 0.7500 0.6538
O 0.1430 0.7500 0.0080
O 0.1939 0.7500 0.8282
O 0.3061 0.2500 0.3282
O 0.3570 0.2500 0.5080
O 0.3883 0.2500 0.1538
O 0.4080 0.2500 0.6839
O 0.4268 0.2500 0.9593
O 0.5732 0.7500 0.0407
O 0.5920 0.7500 0.3161
O 0.6117 0.7500 0.8462
O 0.6430 0.7500 0.4920
O 0.6939 0.7500 0.6718
O 0.8061 0.2500 0.1718
O 0.8570 0.2500 0.9920
O 0.8883 0.2500 0.3462
O 0.9080 0.2500 0.8161
O 0.9268 0.2500 0.5407

Most intense lines, 2θ from 15° to 90°, low angle first:
Position (°2θ)  I/Imax  index
29.7  100  0 1 3
29.9  96  2 0 3
34.3  42  2 1 0
35.0  20  0 0 6
49.0  20  0 2 0
49.7  12  4 0 0
49.9  56  2 1 6
58.5  29  2 2 3
58.9  22  4 1 3
80.8  11  2 2 9